Entry 1:
Diffraction record for Zr4TcRh3. The X-ray diffraction stick pattern is theoretical, not measured: it uses a structure optimized by DFT (PBE) and copper Kα.

The 10 most intense peaks (15° ≤ 2θ ≤ 90°), by intensity:
Position (°2θ)  d (Å)  I (rel.)
38.5  2.338  100
38.8  2.323  25
39.0  2.312  24
70.0  1.344  16
56.1  1.639  16
70.2  1.340  16
82.5  1.169  10
55.0  1.669  9
69.3  1.355  8
69.5  1.353  8

Structural model:
a b c (Å): 3.337 4.645 9.249
angles (deg): 90.00 90.00 90.00
Space group Pmmm (No. 47)
Unique sites:
Zr 0.000 0.000 0.000
Zr 0.000 0.000 0.500
Zr 0.000 0.500 0.246
Tc 0.500 0.500 0.000
Rh 0.500 0.000 0.252
Rh 0.500 0.500 0.500

Entry 2:
Diffraction record for Te16Rh11. The X-ray diffraction stick pattern is theoretical, not measured: it uses a structure optimized by DFT (PBE) and copper Kα.

The 10 most intense peaks (15° ≤ 2θ ≤ 90°), by intensity:
Position (°2θ)  d (Å)  I (rel.)
31.5  2.842  100
35.0  2.567  93
26.4  3.375  74
37.3  2.413  72
28.3  3.149  69
31.2  2.870  59
40.3  2.240  57
30.2  2.958  46
47.4  1.917  43
28.8  3.101  42

Structural model:
a b c (Å): 7.232 9.730 10.217
angles (deg): 102.86 91.51 109.82
Space group P-1 (No. 2)
Unique sites:
Te 0.021 0.224 0.417
Te 0.097 0.527 0.252
Te 0.132 0.195 0.049
Te 0.264 0.209 0.661
Te 0.286 0.911 0.316
Te 0.373 0.534 0.911
Te 0.378 0.872 0.862
Te 0.389 0.626 0.567
Rh 0.000 0.500 0.500
Rh 0.043 0.286 0.833
Rh 0.122 0.991 0.812
Rh 0.236 0.968 0.085
Rh 0.336 0.963 0.579
Rh 0.461 0.533 0.313